Tb6FeSb2: calculated powder X-ray diffraction pattern (Cu Kα), based on DFT lattice parameters and positions (GGA-PBE).
No peak broadening, texture or thermal motion is included.

Top 10 peaks for 5° ≤ 2θ ≤ 70°, by angle:
2θ (°)	I (rel.)	hkl
30.5	77	1 1 1
33.1	100	2 1 0
37.7	19	3 0 0
39.7	21	2 1 1
43.6	17	0 0 2
51.0	17	3 1 1
55.8	24	2 1 2
58.9	10	3 0 2
60.6	18	3 2 1
63.6	11	4 1 1

Cell and atoms:
Unit cell a=8.2721 b=8.2721 c=4.1538 alpha=90.00 beta=90.00 gamma=120.00
Fractional positions:
Tb: 0.0000 0.2347 0.0000
Tb: 0.0000 0.5995 0.5000
Tb: 0.2347 0.0000 0.0000
Tb: 0.4005 0.4005 0.5000
Tb: 0.5995 0.0000 0.5000
Tb: 0.7653 0.7653 0.0000
Fe: 0.0000 0.0000 0.5000
Sb: 0.3333 0.6667 0.0000
Sb: 0.6667 0.3333 0.0000